For La2MgCdO, the PBE geometry in Alexandria gives the theoretical X-ray powder pattern in this record (λ = 1.5418 Å (Cu Kα)).
No peak broadening, texture or thermal motion is included.

Largest 8 diffraction maxima, in order of falling intensity, 2θ = 10–90°:
hkl	2θ (°)	I_rel
1 1 1	31.63	100
2 0 0	35.14	44
3 1 1	60.87	30
2 0 2	53.97	25
0 0 2	39.61	16
2 2 0	50.55	15
2 2 2	66.06	13
0 0 1	19.51	12

Cell and atoms:
```
data_La2MgCdO
_chemical_formula_sum 'La2 Mg1 Cd1 O1'
_cell_length_a 5.1070
_cell_length_b 5.1070
_cell_length_c 4.5509
_cell_angle_alpha 90.00
_cell_angle_beta 90.00
_cell_angle_gamma 90.00
_symmetry_space_group_name_H-M 'P 4/m m m'
_symmetry_Int_Tables_number 123
_symmetry_space_group_name_Hall '-P 4 2'
loop_
_atom_site_label
_atom_site_type_symbol
_atom_site_fract_x
_atom_site_fract_y
_atom_site_fract_z
La1 La 0.0000 0.5000 0.0000
Mg1 Mg 0.0000 0.0000 0.5000
Cd1 Cd 0.5000 0.5000 0.5000
O1 O 0.0000 0.0000 0.0000
```

***

For LaTmMgCd, the PBE geometry in Alexandria gives the theoretical X-ray powder pattern in this record (λ = 1.5418 Å (Cu Kα)).
No peak broadening, texture or thermal motion is included.

Largest 8 diffraction maxima, in order of falling intensity, 2θ = 10–90°:
hkl	2θ (°)	I_rel
2 2 0	33.00	100
4 2 2	58.94	37
4 0 0	47.37	18
2 0 0	23.17	16
6 2 0	78.86	16
4 4 0	69.24	11
1 1 1	20.03	10
4 2 0	53.37	7

Cell and atoms:
```
data_LaTmMgCd
_chemical_formula_sum 'La4 Tm4 Mg4 Cd4'
_cell_length_a 7.6764
_cell_length_b 7.6764
_cell_length_c 7.6764
_cell_angle_alpha 90.00
_cell_angle_beta 90.00
_cell_angle_gamma 90.00
_symmetry_space_group_name_H-M 'F -4 3 m'
_symmetry_Int_Tables_number 216
_symmetry_space_group_name_Hall 'F -4 2 3'
loop_
_atom_site_label
_atom_site_type_symbol
_atom_site_fract_x
_atom_site_fract_y
_atom_site_fract_z
La1 La 0.0000 0.0000 0.0000
Tm1 Tm 0.0000 0.0000 0.5000
Mg1 Mg 0.2500 0.2500 0.2500
Cd1 Cd 0.2500 0.2500 0.7500
```